# 1
The following is a calculated XRD peak list of BaLiGdTe3. It was derived from the PBE geometry in OQMD, using Cu Kα (weighted mean of Kα1 and Kα2).
Neutral-atom scattering factors, no anomalous dispersion.

The 10 most intense peaks (10 to 90 degrees two-theta), by angle:
2θ 19.24, rel. 25
2θ 27.15, rel. 100
2θ 28.46, rel. 54
2θ 28.79, rel. 29
2θ 33.20, rel. 19
2θ 37.82, rel. 27
2θ 39.68, rel. 55
2θ 39.82, rel. 24
2θ 49.57, rel. 23
2θ 56.00, rel. 19

Crystal structure
a b c (Å): 9.9535 9.9535 9.5152
angles (deg): 103.50 103.50 26.37
Fractional coordinates of all 12 atoms:
Ba 0.1358 0.1358 0.0666
Ba 0.8642 0.8642 0.9334
Li 0.4937 0.4937 0.3019
Li 0.5063 0.5063 0.6981
Gd 0.1657 0.1657 0.5844
Gd 0.8343 0.8343 0.4156
Te 0.0000 0.0000 0.5000
Te 0.3264 0.3264 0.1920
Te 0.3317 0.3317 0.6390
Te 0.5000 0.5000 0.0000
Te 0.6683 0.6683 0.3610
Te 0.6736 0.6736 0.8080

---

# 2
The following is a calculated XRD peak list of BaGdMgSb2. It was derived from the PBE geometry in OQMD, using Cu Kα (weighted mean of Kα1 and Kα2).
Neutral-atom scattering factors, no anomalous dispersion.

The 10 most intense peaks (10 to 90 degrees two-theta), by angle:
2θ 18.86, rel. 25
2θ 26.32, rel. 40
2θ 26.60, rel. 24
2θ 30.06, rel. 54
2θ 31.17, rel. 23
2θ 31.36, rel. 34
2θ 34.20, rel. 100
2θ 36.98, rel. 35
2θ 46.17, rel. 27
2θ 49.14, rel. 21

Crystal structure
a b c (Å): 9.7021 9.7021 7.1758
angles (deg): 90.00 90.00 150.98
Fractional coordinates of all 10 atoms:
Ba 0.1977 0.8023 0.5000
Ba 0.8023 0.1977 0.0000
Gd 0.0139 0.9861 0.2150
Gd 0.9861 0.0139 0.7150
Mg 0.4049 0.5951 0.3919
Mg 0.5951 0.4049 0.8919
Sb 0.1605 0.8395 0.9938
Sb 0.4410 0.5590 0.9923
Sb 0.5590 0.4410 0.4923
Sb 0.8395 0.1605 0.4938